[1]
# RbNi2F6
Theoretical powder diffractogram, Cu Kα (λ = 1.5418 Å). Input: DFT lattice parameters and positions (GGA+U).

Structural model:
abc: 7.119 7.436 9.966
angles: 90.00 90.00 90.00
Space group Imma (No. 74)
Asymmetric unit:
Rb1 0.000 0.250 0.134 x4
Ni1 0.000 0.000 0.500 x4
Ni2 0.250 0.250 0.750 x4
F1 0.000 0.250 0.429 x4
F2 0.000 0.250 0.833 x4
F3 0.187 0.047 0.625 x16

The 8 most intense peaks (10° ≤ 2θ ≤ 80°), by angle:
2θ = 24.88°, I 30, (1 1 2)
2θ = 28.53°, I 100, (1 2 1)
2θ = 29.22°, I 93, (2 1 1)
2θ = 29.45°, I 36, (0 1 3)
2θ = 29.68°, I 49, (1 0 3)
2θ = 29.99°, I 47, (0 2 2)
2θ = 30.87°, I 35, (2 0 2)
2θ = 51.04°, I 77, (2 2 4)

[2]
# BaEuVSnO6
Theoretical powder diffractogram, Cu Kα (λ = 1.5418 Å). Input: DFT lattice parameters and positions (GGA+U).

Structural model:
abc: 8.127 8.127 8.127
angles: 90.00 90.00 90.00
Space group F-43m (No. 216)
Asymmetric unit:
Ba1 0.000 0.000 0.000 x4
Eu1 0.000 0.000 0.500 x4
V1 0.250 0.250 0.750 x4
Sn1 0.250 0.250 0.250 x4
O1 0.005 0.250 0.750 x24

The 8 most intense peaks (10° ≤ 2θ ≤ 80°), by angle:
2θ = 18.91°, I 6, (1 1 1)
2θ = 31.13°, I 100, (2 2 0)
2θ = 36.67°, I 4, (3 1 1)
2θ = 38.37°, I 9, (2 2 2)
2θ = 44.60°, I 31, (4 0 0)
2θ = 55.38°, I 40, (4 2 2)
2θ = 64.90°, I 19, (4 4 0)
2θ = 73.73°, I 18, (6 2 0)

[3]
# Li5Mn2NiO8
Theoretical powder diffractogram, Cu Kα (λ = 1.5418 Å). Input: DFT lattice parameters and positions (GGA+U).

Structural model:
abc: 10.116 5.737 5.809
angles: 90.00 124.64 90.00
Space group C2/m (No. 12)
Asymmetric unit:
Li1 0.000 0.000 0.000 x2
Li2 0.000 0.000 0.500 x2
Li3 0.000 0.500 0.000 x2
Li4 0.250 0.250 0.000 x4
Mn1 0.250 0.250 0.500 x4
Ni1 0.000 0.500 0.500 x2
O1 0.018 0.263 0.283 x8
O2 0.243 0.000 0.265 x4
O3 0.250 0.000 0.726 x4

The 8 most intense peaks (10° ≤ 2θ ≤ 80°), by angle:
2θ = 18.57°, I 100, (0 0 1)
2θ = 18.76°, I 32, (1 1 0)
2θ = 35.97°, I 19, (4 0 -1)
2θ = 36.60°, I 25, (2 2 -1)
2θ = 43.50°, I 31, (4 0 0)
2θ = 44.39°, I 59, (2 2 -2)
2θ = 63.71°, I 16, (2 2 2)
2θ = 64.09°, I 24, (6 2 -2)

[4]
# Na4MgV4O10
Theoretical powder diffractogram, Cu Kα (λ = 1.5418 Å). Input: DFT lattice parameters and positions (GGA+U).

Structural model:
abc: 5.701 5.878 8.298
angles: 109.56 110.08 90.01
Space group P1 (No. 1)
Asymmetric unit:
Na1 0.000 0.000 0.000 x1
Na2 0.115 0.123 0.455 x1
Na3 0.467 0.741 0.156 x1
Na4 0.806 0.867 0.613 x1
Mg1 0.440 0.433 0.806 x1
V1 0.089 0.579 0.306 x1
V2 0.429 0.934 0.807 x1
V3 0.590 0.288 0.307 x1
V4 0.927 0.434 0.807 x1
O1 0.062 0.633 0.104 x1
O2 0.187 0.192 0.799 x1
O3 0.195 0.675 0.815 x1
O4 0.249 0.294 0.293 x1
O5 0.287 0.806 0.512 x1
O6 0.582 0.061 0.102 x1
O7 0.669 0.670 0.790 x1
O8 0.686 0.197 0.824 x1
O9 0.763 0.572 0.321 x1
O10 0.764 0.235 0.509 x1

The 8 most intense peaks (10° ≤ 2θ ≤ 80°), by angle:
2θ = 21.72°, I 84, (1 1 -1)
2θ = 24.45°, I 100, (0 0 2)
2θ = 30.42°, I 40, (0 2 -1)
2θ = 31.38°, I 73, (2 0 -1)
2θ = 33.18°, I 50, (1 1 -3)
2θ = 34.05°, I 42, (0 1 2)
2θ = 34.78°, I 31, (1 2 -1)
2θ = 44.27°, I 69, (2 2 -2)

[5]
# Sr4Cr3O10
Theoretical powder diffractogram, Cu Kα (λ = 1.5418 Å). Input: DFT lattice parameters and positions (GGA+U).

Structural model:
abc: 3.872 3.872 28.391
angles: 90.00 90.00 90.00
Space group I4/mmm (No. 139)
Asymmetric unit:
Sr1 0.000 0.000 0.067 x4
Sr2 0.000 0.000 0.203 x4
Cr1 0.000 0.000 0.361 x4
Cr2 0.000 0.000 0.500 x2
O1 0.000 0.000 0.291 x4
O2 0.000 0.000 0.434 x4
O3 0.000 0.500 0.000 x4
O4 0.000 0.500 0.136 x8

The 8 most intense peaks (10° ≤ 2θ ≤ 80°), by angle:
2θ = 31.95°, I 100, (1 0 7)
2θ = 32.71°, I 61, (1 1 0)
2θ = 41.66°, I 24, (1 1 8)
2θ = 44.69°, I 16, (0 0 14)
2θ = 46.93°, I 41, (2 0 0)
2θ = 56.47°, I 15, (1 1 14)
2θ = 57.90°, I 36, (2 1 7)
2θ = 66.80°, I 17, (2 0 14)

[6]
# Cd6Co5O15
Theoretical powder diffractogram, Cu Kα (λ = 1.5418 Å). Input: DFT lattice parameters and positions (GGA+U).

Structural model:
abc: 6.835 6.842 6.938
angles: 86.66 86.06 87.39
Space group P1 (No. 1)
Asymmetric unit:
Cd1 0.000 0.000 0.000 x1
Cd2 0.152 0.490 0.819 x1
Cd3 0.318 0.334 0.336 x1
Cd4 0.479 0.826 0.157 x1
Cd5 0.660 0.675 0.666 x1
Cd6 0.818 0.159 0.491 x1
Co1 0.020 0.699 0.359 x1
Co2 0.218 0.912 0.578 x1
Co3 0.435 0.106 0.775 x1
Co4 0.628 0.299 0.972 x1
Co5 0.823 0.501 0.161 x1
O1 0.003 0.724 0.634 x1
O2 0.016 0.670 0.085 x1
O3 0.040 0.966 0.332 x1
O4 0.184 0.184 0.614 x1
O5 0.291 0.887 0.864 x1
O6 0.293 0.679 0.390 x1
O7 0.352 0.276 0.985 x1
O8 0.523 0.966 0.559 x1
O9 0.609 0.317 0.702 x1
O10 0.627 0.577 0.979 x1
O11 0.636 0.310 0.243 x1
O12 0.663 0.030 0.971 x1
O13 0.747 0.690 0.340 x1
O14 0.903 0.321 0.973 x1
O15 0.996 0.423 0.354 x1

The 8 most intense peaks (10° ≤ 2θ ≤ 80°), by angle:
2θ = 28.17°, I 28, (1 0 2)
2θ = 28.30°, I 36, (0 1 2)
2θ = 28.47°, I 61, (2 0 1)
2θ = 28.78°, I 59, (1 2 0)
2θ = 32.76°, I 52, (1 -2 1)
2θ = 32.96°, I 100, (1 1 -2)
2θ = 43.90°, I 20, (3 -1 1)
2θ = 58.60°, I 28, (0 3 -3)

[7]
# LiMnF4
Theoretical powder diffractogram, Cu Kα (λ = 1.5418 Å). Input: DFT lattice parameters and positions (GGA+U).

Structural model:
abc: 4.710 9.833 7.772
angles: 90.00 124.90 90.00
Space group P2_1/c (No. 14)
Asymmetric unit:
Li1 0.194 0.216 0.231 x4
Mn1 0.000 0.000 0.500 x2
Mn2 0.500 0.000 0.000 x2
F1 0.028 0.088 0.728 x4
F2 0.197 0.156 0.476 x4
F3 0.277 0.656 0.498 x4
F4 0.486 0.074 0.226 x4

The 8 most intense peaks (10° ≤ 2θ ≤ 80°), by angle:
2θ = 18.04°, I 54, (0 2 0)
2θ = 20.93°, I 100, (1 1 -1)
2θ = 27.99°, I 15, (0 0 2)
2θ = 33.31°, I 18, (1 3 -1)
2θ = 34.56°, I 28, (1 1 1)
2θ = 38.12°, I 20, (1 2 1)
2θ = 39.32°, I 18, (1 2 -3)
2θ = 50.79°, I 15, (2 2 0)

[8]
# MgCoAs2O7
Theoretical powder diffractogram, Cu Kα (λ = 1.5418 Å). Input: DFT lattice parameters and positions (GGA+U).

Structural model:
abc: 7.310 8.652 9.706
angles: 90.00 113.88 90.00
Space group P2_1/c (No. 14)
Asymmetric unit:
Mg1 0.224 0.079 0.105 x4
Co1 0.319 0.054 0.684 x4
As1 0.067 0.727 0.751 x4
As2 0.484 0.722 0.042 x4
O1 0.036 0.600 0.608 x4
O2 0.136 0.236 0.705 x4
O3 0.153 0.596 0.236 x4
O4 0.250 0.642 0.919 x4
O5 0.358 0.230 0.548 x4
O6 0.453 0.602 0.608 x4
O7 0.461 0.082 0.323 x4

The 8 most intense peaks (10° ≤ 2θ ≤ 80°), by angle:
2θ = 20.53°, I 15, (0 2 0)
2θ = 22.15°, I 12, (1 1 1)
2θ = 28.11°, I 100, (1 2 -2)
2θ = 28.29°, I 35, (1 0 2)
2θ = 33.89°, I 22, (2 2 0)
2θ = 35.21°, I 14, (1 2 2)
2θ = 55.19°, I 14, (3 3 -4)
2θ = 59.94°, I 9, (4 3 -2)

[9]
# Sr2Cu2NiO7
Theoretical powder diffractogram, Cu Kα (λ = 1.5418 Å). Input: DFT lattice parameters and positions (GGA+U).

Structural model:
abc: 25.118 5.196 5.130
angles: 90.00 90.00 90.00
Space group Ima2 (No. 46)
Asymmetric unit:
Sr1 0.151 0.005 0.000 x8
Cu1 0.060 0.501 0.999 x8
Ni1 0.250 0.573 0.946 x4
O1 0.076 0.250 0.249 x8
O2 0.077 0.749 0.249 x8
O3 0.181 0.017 0.510 x8
O4 0.250 0.587 0.580 x4

The 8 most intense peaks (10° ≤ 2θ ≤ 80°), by angle:
2θ = 28.28°, I 82, (4 1 1)
2θ = 32.54°, I 100, (6 1 1)
2θ = 34.53°, I 37, (0 2 0)
2θ = 34.98°, I 38, (0 0 2)
2θ = 35.75°, I 42, (10 0 0)
2θ = 37.80°, I 33, (8 1 1)
2θ = 49.97°, I 44, (0 2 2)
2θ = 64.62°, I 33, (16 1 1)

[10]
# LiVF4
Theoretical powder diffractogram, Cu Kα (λ = 1.5418 Å). Input: DFT lattice parameters and positions (GGA+U).

Structural model:
abc: 15.582 3.966 12.626
angles: 90.00 121.23 90.00
Space group C2/m (No. 12)
Asymmetric unit:
Li1 0.159 0.000 0.322 x4
Li2 0.200 0.500 0.165 x4
V1 0.035 0.500 0.868 x4
V2 0.138 0.500 0.641 x4
F1 0.000 0.500 0.000 x2
F2 0.000 0.500 0.500 x2
F3 0.019 0.000 0.850 x4
F4 0.075 0.500 0.743 x4
F5 0.114 0.500 0.257 x4
F6 0.149 0.000 0.659 x4
F7 0.168 0.500 0.000 x4
F8 0.200 0.500 0.545 x4
F9 0.224 0.000 0.215 x4

The 8 most intense peaks (10° ≤ 2θ ≤ 80°), by angle:
2θ = 14.83°, I 23, (2 0 -2)
2θ = 18.94°, I 78, (2 0 1)
2θ = 21.12°, I 60, (2 0 -3)
2θ = 23.40°, I 100, (1 1 0)
2θ = 25.32°, I 38, (4 0 -3)
2θ = 45.55°, I 35, (6 0 -6)
2θ = 45.74°, I 51, (0 2 0)
2θ = 50.92°, I 36, (5 1 2)

What did the tenth record say?
# LiVF4
Theoretical powder diffractogram, Cu Kα (λ = 1.5418 Å). Input: DFT lattice parameters and positions (GGA+U).

Structural model:
abc: 15.582 3.966 12.626
angles: 90.00 121.23 90.00
Space group C2/m (No. 12)
Asymmetric unit:
Li1 0.159 0.000 0.322 x4
Li2 0.200 0.500 0.165 x4
V1 0.035 0.500 0.868 x4
V2 0.138 0.500 0.641 x4
F1 0.000 0.500 0.000 x2
F2 0.000 0.500 0.500 x2
F3 0.019 0.000 0.850 x4
F4 0.075 0.500 0.743 x4
F5 0.114 0.500 0.257 x4
F6 0.149 0.000 0.659 x4
F7 0.168 0.500 0.000 x4
F8 0.200 0.500 0.545 x4
F9 0.224 0.000 0.215 x4

The 8 most intense peaks (10° ≤ 2θ ≤ 80°), by angle:
2θ = 14.83°, I 23, (2 0 -2)
2θ = 18.94°, I 78, (2 0 1)
2θ = 21.12°, I 60, (2 0 -3)
2θ = 23.40°, I 100, (1 1 0)
2θ = 25.32°, I 38, (4 0 -3)
2θ = 45.55°, I 35, (6 0 -6)
2θ = 45.74°, I 51, (0 2 0)
2θ = 50.92°, I 36, (5 1 2)